1.
For La2TbDyHo, the GGA-PBE geometry in Alexandria gives the computed PXRD pattern in this record (Cu Kα X-rays).

The 10 most intense peaks (2θ = 15–90°), by angle:
Position (°2θ)  d_spacing  I (rel.)  index
27.72  3.218  26.5  2 0 0
28.65  3.115  43.1  0 1 2
29.70  3.008  100.0  1 2 1
30.75  2.907  20.2  2 0 1
31.92  2.804  37.0  1 1 2
32.84  2.727  42.6  2 1 1
38.55  2.335  31.2  2 0 2
46.64  1.947  24.2  2 3 1
50.28  1.815  25.5  3 2 1
54.83  1.674  16.7  2 2 3

```
data_La2TbDyHo
_chemical_formula_sum 'La4 Tb2 Dy2 Ho2'
_space_group_name_H-M_alt 'P m m a'
_space_group_IT_number 51
_space_group_name_Hall '-P 2a 2a'
_cell_length_a 6.435
_cell_length_b 7.869
_cell_length_c 6.785
_cell_angle_alpha 90.00
_cell_angle_beta 90.00
_cell_angle_gamma 90.00
loop_
_atom_site_label
_atom_site_fract_x
_atom_site_fract_y
_atom_site_fract_z
La1 0.250 0.201 0.209
Tb1 0.250 0.000 0.684
Dy1 0.250 0.500 0.907
Ho1 0.000 0.500 0.500
```

=====

2.
For LaDy2Ho4Tm, the GGA-PBE geometry in Alexandria gives the computed PXRD pattern in this record (Cu Kα X-rays).

The 10 most intense peaks (2θ = 15–90°), by angle:
Position (°2θ)  d_spacing  I (rel.)  index
30.85  2.899  100.0  4 0 0
35.73  2.513  33.8  2 2 2
35.85  2.505  16.8  4 0 -4
51.42  1.777  12.0  0 4 0
51.51  1.774  24.0  6 2 -2
61.18  1.515  28.5  4 4 0
61.34  1.511  14.2  8 0 -4
64.24  1.450  9.2  4 4 -4
84.04  1.152  11.8  8 4 -4
86.69  1.123  8.3  8 4 0

```
data_LaDy2Ho4Tm
_chemical_formula_sum 'La4 Dy8 Ho16 Tm4'
_space_group_name_H-M_alt 'C 1 2/m 1'
_space_group_IT_number 12
_space_group_name_Hall '-C 2y'
_cell_length_a 12.275
_cell_length_b 7.114
_cell_length_c 12.287
_cell_angle_alpha 90.00
_cell_angle_beta 109.34
_cell_angle_gamma 90.00
loop_
_atom_site_label
_atom_site_fract_x
_atom_site_fract_y
_atom_site_fract_z
La1 0.250 0.250 0.000
Dy1 0.000 0.000 0.000
Dy2 0.000 0.000 0.500
Dy3 0.250 0.250 0.500
Ho1 0.002 0.250 0.252
Ho2 0.248 0.500 0.746
Ho3 0.249 0.000 0.746
Tm1 0.000 0.500 0.000
Tm2 0.000 0.500 0.500
```

=====

3.
For LaDyHo2Tm, the GGA-PBE geometry in Alexandria gives the computed PXRD pattern in this record (Cu Kα X-rays).

The 10 most intense peaks (2θ = 15–90°), by angle:
Position (°2θ)  d_spacing  I (rel.)  index
26.30  3.389  47.3  2 2 0
28.00  3.186  32.4  1 1 2
29.23  3.055  55.8  0 2 2
31.18  2.868  60.2  0 4 0
32.71  2.738  100.0  2 0 2
32.92  2.721  32.9  3 1 0
35.84  2.506  56.2  1 3 2
39.90  2.260  42.0  3 3 0
45.82  1.980  64.4  2 4 2
66.03  1.415  33.7  3 7 0

```
data_LaDyHo2Tm
_chemical_formula_sum 'La4 Dy4 Ho8 Tm4'
_space_group_name_H-M_alt 'C m c m'
_space_group_IT_number 63
_space_group_name_Hall '-C 2c 2'
_cell_length_a 8.402
_cell_length_b 11.473
_cell_length_c 7.220
_cell_angle_alpha 90.00
_cell_angle_beta 90.00
_cell_angle_gamma 90.00
loop_
_atom_site_label
_atom_site_fract_x
_atom_site_fract_y
_atom_site_fract_z
La1 0.000 0.233 0.250
Dy1 0.000 0.497 0.750
Ho1 0.190 0.000 0.000
Tm1 0.000 0.217 0.750
```

=====

4.
For La2Dy2HoTm2, the GGA-PBE geometry in Alexandria gives the computed PXRD pattern in this record (Cu Kα X-rays).

The 10 most intense peaks (2θ = 15–90°), by angle:
Position (°2θ)  d_spacing  I (rel.)  index
30.56  2.925  100.0  2 0 3
35.32  2.541  34.1  3 1 1
35.68  2.517  16.6  2 0 -4
50.71  1.800  6.1  0 2 0
51.08  1.788  24.0  1 1 5
60.40  1.533  14.5  2 2 3
60.52  1.530  14.3  5 1 4
60.94  1.520  14.1  0 0 7
63.54  1.464  6.2  2 2 -4
63.70  1.461  6.1  4 0 6

```
data_La2Dy2HoTm2
_chemical_formula_sum 'La4 Dy4 Ho2 Tm4'
_space_group_name_H-M_alt 'C 1 2/m 1'
_space_group_IT_number 12
_space_group_name_Hall '-C 2y'
_cell_length_a 11.889
_cell_length_b 3.600
_cell_length_c 10.682
_cell_angle_alpha 90.00
_cell_angle_beta 95.50
_cell_angle_gamma 90.00
loop_
_atom_site_label
_atom_site_fract_x
_atom_site_fract_y
_atom_site_fract_z
La1 0.069 0.000 0.286
Dy1 0.214 0.000 0.857
Ho1 0.000 0.500 0.000
Tm1 0.146 0.500 0.572
```